Theoretical powder diffraction line list of Nb9TlSe12 for Cu Kα, 1.54184 Å, from a structure optimized by DFT (GGA-PBE).

Peak list (12 most intense, 5 to 70 degrees two-theta, in order of rising 2θ)
8.813 Å, 10.0 deg, I = 25; 4.407 Å, 20.2 deg, I = 20; 3.248 Å, 27.5 deg, I = 15; 2.938 Å, 30.4 deg, I = 36; 2.738 Å, 32.7 deg, I = 37; 2.444 Å, 36.8 deg, I = 65; 2.411 Å, 37.3 deg, I = 100; 2.057 Å, 44.0 deg, I = 39; 2.003 Å, 45.3 deg, I = 14; 1.923 Å, 47.3 deg, I = 29; 1.749 Å, 52.3 deg, I = 32; 1.421 Å, 65.7 deg, I = 18

Structure:
a = 10.7596 Å, b = 10.7596 Å, c = 10.7596 Å
α = 109.99°, β = 109.99°, γ = 109.99°
Sites, in units of the cell vectors:
Nb 0.0521 0.5398 0.1593
Nb 0.1264 0.5082 0.6146
Nb 0.1593 0.0521 0.5398
Nb 0.1754 0.2819 0.7948
Nb 0.2052 0.8246 0.7181
Nb 0.2819 0.7948 0.1754
Nb 0.3854 0.8736 0.4918
Nb 0.4602 0.8407 0.9479
Nb 0.4918 0.3854 0.8736
Nb 0.5082 0.6146 0.1264
Nb 0.5398 0.1593 0.0521
Nb 0.6146 0.1264 0.5082
Nb 0.7181 0.2052 0.8246
Nb 0.7948 0.1754 0.2819
Nb 0.8246 0.7181 0.2052
Nb 0.8407 0.9479 0.4602
Nb 0.8736 0.4918 0.3854
Nb 0.9479 0.4602 0.8407
Tl 0.0000 0.0000 0.0000
Tl 0.5000 0.5000 0.5000
Se 0.0107 0.2917 0.9500
Se 0.0438 0.3839 0.3233
Se 0.0500 0.9893 0.7083
Se 0.0833 0.7502 0.4165
Se 0.2498 0.5835 0.9167
Se 0.2819 0.3428 0.6239
Se 0.2917 0.9500 0.0107
Se 0.3233 0.0438 0.3839
Se 0.3428 0.6239 0.2819
Se 0.3761 0.7181 0.6572
Se 0.3839 0.3233 0.0438
Se 0.4165 0.0833 0.7502
Se 0.5835 0.9167 0.2498
Se 0.6161 0.6767 0.9562
Se 0.6239 0.2819 0.3428
Se 0.6572 0.3761 0.7181
Se 0.6767 0.9562 0.6161
Se 0.7083 0.0500 0.9893
Se 0.7181 0.6572 0.3761
Se 0.7502 0.4165 0.0833
Se 0.9167 0.2498 0.5835
Se 0.9500 0.0107 0.2917
Se 0.9562 0.6161 0.6767
Se 0.9893 0.7083 0.0500

Theoretical powder diffraction line list of TlCo2Cl5 for Cu Kα, 1.54184 Å, from a structure optimized by DFT (GGA-PBE).

Peak list (12 most intense, 5 to 70 degrees two-theta, in order of rising 2θ)
4.929 Å, 18.0 deg, I = 100; 4.782 Å, 18.6 deg, I = 50; 3.928 Å, 22.6 deg, I = 35; 3.766 Å, 23.6 deg, I = 31; 3.598 Å, 24.7 deg, I = 44; 3.526 Å, 25.3 deg, I = 57; 2.711 Å, 33.0 deg, I = 40; 2.580 Å, 34.8 deg, I = 37; 2.272 Å, 39.7 deg, I = 39; 2.263 Å, 39.8 deg, I = 30; 2.083 Å, 43.5 deg, I = 30; 1.701 Å, 53.9 deg, I = 24

Structure:
a = 8.7334 Å, b = 8.7334 Å, c = 11.6715 Å
α = 90.00°, β = 90.00°, γ = 145.64°
Sites, in units of the cell vectors:
Tl 0.0551 0.9449 0.7500
Tl 0.9449 0.0551 0.2500
Co 0.2153 0.7847 0.0930
Co 0.2153 0.7847 0.4070
Co 0.7847 0.2153 0.5930
Co 0.7847 0.2153 0.9070
Cl 0.0832 0.9168 0.0858
Cl 0.0832 0.9168 0.4142
Cl 0.2748 0.7252 0.5798
Cl 0.2748 0.7252 0.9202
Cl 0.3010 0.6990 0.2500
Cl 0.6990 0.3010 0.7500
Cl 0.7252 0.2748 0.0798
Cl 0.7252 0.2748 0.4202
Cl 0.9168 0.0832 0.5858
Cl 0.9168 0.0832 0.9142

Theoretical powder diffraction line list of Mg2ZrPd3 for Cu Kα, 1.54184 Å, from a structure optimized by DFT (GGA-PBE).

Peak list (12 most intense, 5 to 70 degrees two-theta, in order of rising 2θ)
10.104 Å, 8.8 deg, I = 10; 3.368 Å, 26.5 deg, I = 10; 3.184 Å, 28.0 deg, I = 18; 3.037 Å, 29.4 deg, I = 7; 2.694 Å, 33.3 deg, I = 7; 2.314 Å, 38.9 deg, I = 100; 2.252 Å, 40.0 deg, I = 48; 1.872 Å, 48.6 deg, I = 8; 1.684 Å, 54.5 deg, I = 8; 1.592 Å, 57.9 deg, I = 16; 1.424 Å, 65.5 deg, I = 3; 1.348 Å, 69.7 deg, I = 17

Structure:
a = 3.1845 Å, b = 3.1845 Å, c = 10.1041 Å
α = 90.00°, β = 90.00°, γ = 90.00°
Sites, in units of the cell vectors:
Mg 0.0000 0.0000 0.1577
Mg 0.0000 0.0000 0.8423
Zr 0.0000 0.0000 0.5000
Pd 0.5000 0.5000 0.0000
Pd 0.5000 0.5000 0.3204
Pd 0.5000 0.5000 0.6796

Theoretical powder diffraction line list of TmPuAgPt for Cu Kα, 1.54184 Å, from a structure optimized by DFT (GGA-PBE).

Peak list (10 most intense, 5 to 70 degrees two-theta, in order of rising 2θ)
4.097 Å, 21.7 deg, I = 5; 3.548 Å, 25.1 deg, I = 2; 2.509 Å, 35.8 deg, I = 100; 2.139 Å, 42.2 deg, I = 3; 2.048 Å, 44.2 deg, I = 1; 1.774 Å, 51.5 deg, I = 18; 1.628 Å, 56.5 deg, I = 1; 1.587 Å, 58.1 deg, I = 1; 1.448 Å, 64.3 deg, I = 37; 1.366 Å, 68.7 deg, I = 1

Structure:
a = 7.0954 Å, b = 7.0954 Å, c = 7.0954 Å
α = 90.00°, β = 90.00°, γ = 90.00°
Sites, in units of the cell vectors:
Tm 0.0000 0.0000 0.0000
Tm 0.0000 0.5000 0.5000
Tm 0.5000 0.0000 0.5000
Tm 0.5000 0.5000 0.0000
Pu 0.0000 0.0000 0.5000
Pu 0.0000 0.5000 0.0000
Pu 0.5000 0.0000 0.0000
Pu 0.5000 0.5000 0.5000
Ag 0.2500 0.2500 0.7500
Ag 0.2500 0.7500 0.2500
Ag 0.7500 0.2500 0.2500
Ag 0.7500 0.7500 0.7500
Pt 0.2500 0.2500 0.2500
Pt 0.2500 0.7500 0.7500
Pt 0.7500 0.2500 0.7500
Pt 0.7500 0.7500 0.2500

Theoretical powder diffraction line list of Yb2Al2O5 for Cu Kα, 1.54184 Å, from a structure optimized by DFT (GGA-PBE).

Peak list (12 most intense, 5 to 70 degrees two-theta, in order of rising 2θ)
3.729 Å, 23.9 deg, I = 62; 3.681 Å, 24.2 deg, I = 23; 2.637 Å, 34.0 deg, I = 42; 2.620 Å, 34.2 deg, I = 100; 2.144 Å, 42.2 deg, I = 52; 1.864 Å, 48.9 deg, I = 28; 1.841 Å, 49.5 deg, I = 13; 1.668 Å, 55.1 deg, I = 14; 1.663 Å, 55.2 deg, I = 11; 1.651 Å, 55.7 deg, I = 13; 1.519 Å, 61.0 deg, I = 39; 1.509 Å, 61.4 deg, I = 18

Structure:
a = 3.7287 Å, b = 3.7287 Å, c = 7.3627 Å
α = 90.00°, β = 90.00°, γ = 90.00°
Sites, in units of the cell vectors:
Yb 0.0000 0.0000 0.0000
Yb 0.0000 0.0000 0.5000
Al 0.5000 0.5000 0.2451
Al 0.5000 0.5000 0.7549
O 0.0000 0.5000 0.2799
O 0.0000 0.5000 0.7201
O 0.5000 0.0000 0.2799
O 0.5000 0.0000 0.7201
O 0.5000 0.5000 0.0000

Theoretical powder diffraction line list of Th5AsS4 for Cu Kα, 1.54184 Å, from a structure optimized by DFT (GGA-PBE).

Peak list (12 most intense, 5 to 70 degrees two-theta, in order of rising 2θ)
3.353 Å, 26.6 deg, I = 45; 3.322 Å, 26.8 deg, I = 43; 2.890 Å, 30.9 deg, I = 100; 2.057 Å, 44.0 deg, I = 13; 2.044 Å, 44.3 deg, I = 50; 2.028 Å, 44.7 deg, I = 12; 1.748 Å, 52.3 deg, I = 23; 1.742 Å, 52.5 deg, I = 7; 1.735 Å, 52.7 deg, I = 14; 1.677 Å, 54.7 deg, I = 14; 1.661 Å, 55.3 deg, I = 13; 1.444 Å, 64.5 deg, I = 8

Structure:
a = 10.7443 Å, b = 10.7443 Å, c = 10.7443 Å
α = 157.92°, β = 148.76°, γ = 38.59°
Sites, in units of the cell vectors:
Th 0.0000 0.0000 0.0000
Th 0.1993 0.1993 0.0000
Th 0.3958 0.3958 0.0000
Th 0.6042 0.6042 0.0000
Th 0.8007 0.8007 0.0000
As 0.5000 0.0000 0.5000
S 0.0998 0.5998 0.5000
S 0.2970 0.7970 0.5000
S 0.7030 0.2030 0.5000
S 0.9002 0.4002 0.5000

Theoretical powder diffraction line list of YThSi2Ni2 for Cu Kα, 1.54184 Å, from a structure optimized by DFT (GGA-PBE).

Peak list (12 most intense, 5 to 70 degrees two-theta, in order of rising 2θ)
8.021 Å, 11.0 deg, I = 20; 3.498 Å, 25.5 deg, I = 30; 3.206 Å, 27.8 deg, I = 22; 2.636 Å, 34.0 deg, I = 100; 2.124 Å, 42.6 deg, I = 6; 2.020 Å, 44.9 deg, I = 35; 2.005 Å, 45.2 deg, I = 11; 1.958 Å, 46.4 deg, I = 4; 1.749 Å, 52.3 deg, I = 4; 1.740 Å, 52.6 deg, I = 9; 1.603 Å, 57.5 deg, I = 22; 1.423 Å, 65.6 deg, I = 22

Structure:
a = 4.0390 Å, b = 4.0390 Å, c = 8.0208 Å
α = 90.00°, β = 90.00°, γ = 120.00°
Sites, in units of the cell vectors:
Y 0.0000 0.0000 0.0000
Th 0.0000 0.0000 0.5000
Si 0.3333 0.6667 0.7571
Si 0.6667 0.3333 0.2429
Ni 0.3333 0.6667 0.2459
Ni 0.6667 0.3333 0.7541

Theoretical powder diffraction line list of RuBr3O for Cu Kα, 1.54184 Å, from a structure optimized by DFT (GGA-PBE).

Peak list (12 most intense, 5 to 70 degrees two-theta, in order of rising 2θ)
10.657 Å, 8.3 deg, I = 73; 5.718 Å, 15.5 deg, I = 100; 4.850 Å, 18.3 deg, I = 25; 3.894 Å, 22.8 deg, I = 85; 3.675 Å, 24.2 deg, I = 19; 3.015 Å, 29.6 deg, I = 15; 2.929 Å, 30.5 deg, I = 25; 2.577 Å, 34.8 deg, I = 20; 2.386 Å, 37.7 deg, I = 24; 2.170 Å, 41.6 deg, I = 15; 2.145 Å, 42.1 deg, I = 15; 1.940 Å, 46.8 deg, I = 17

Structure:
a = 5.8886 Å, b = 10.6572 Å, c = 12.0633 Å
α = 90.00°, β = 103.81°, γ = 90.00°
Sites, in units of the cell vectors:
Ru 0.0269 0.0945 0.1304
Ru 0.0269 0.9055 0.6304
Ru 0.9731 0.0945 0.3696
Ru 0.9731 0.9055 0.8696
Br 0.0461 0.3658 0.8518
Br 0.0461 0.6342 0.3518
Br 0.1856 0.2957 0.1058
Br 0.1856 0.7043 0.6058
Br 0.2480 0.0792 0.5714
Br 0.2480 0.9208 0.0714
Br 0.7520 0.0792 0.9286
Br 0.7520 0.9208 0.4286
Br 0.8144 0.2957 0.3942
Br 0.8144 0.7043 0.8942
Br 0.9539 0.3658 0.6482
Br 0.9539 0.6342 0.1482
O 0.2014 0.0882 0.2923
O 0.2014 0.9118 0.7923
O 0.7986 0.0882 0.2077
O 0.7986 0.9118 0.7077